This entry pairs a crystal structure of Cs8Cd2Au3 with its simulated powder diffractogram. Radiation: Cu Kα X-rays. Structure: a PBE-relaxed structure.
Kinematic intensities with the Lorentz-polarization factor, no thermal factor.

Most intense lines, 2θ from 10° to 80°, sorted by position:
| h k l | 2θ (°) | I_rel |
| --- | --- | --- |
| 2 2 -1 | 20.71 | 33 |
| 0 0 2 | 20.84 | 29 |
| 4 2 -1 | 25.22 | 100 |
| 2 0 2 | 25.70 | 39 |
| 4 2 1 | 30.13 | 40 |
| 2 2 -3 | 34.47 | 46 |
| 0 4 0 | 34.78 | 27 |
| 6 2 1 | 38.08 | 18 |
| 2 4 2 | 43.73 | 19 |
| 8 4 -2 | 51.77 | 19 |

Cell: 19.874 10.321 9.045 Å, 90.00 109.54 90.00°
Space group C2/m (No. 12)
One atom of each set of equivalent atoms:
Cs1 0.103 0.000 0.408 x4
Cs2 0.109 0.244 0.913 x8
Cs3 0.127 0.500 0.463 x4
Cd1 0.249 0.000 0.835 x4
Au1 0.000 0.000 0.000 x2
Au2 0.000 0.258 0.500 x4